1.
Computed XRD peak list
Compound: Ga2Cu3Ni3
Radiation: Cu Kα (λ = 1.5418 Å)
Structure: a crystal structure in Alexandria, relaxed with PBE
Neutral-atom scattering factors, no anomalous dispersion.

Principal peaks in the range 5 to 70 degrees two-theta, sorted by position:
2θ (°)  d [Å]  I_rel
43.17  2.096  100
49.06  1.857  17
49.61  1.837  16
52.11  1.755  14

Structure:
Cell lengths 3.6750, 3.7138, 7.0202 Å; angles 90.00, 90.00, 90.00 degrees
Atoms (fractional coordinates):
Ga 0.0000 0.0000 0.2432
Ga 0.0000 0.0000 0.7568
Cu 0.0000 0.5000 0.5000
Cu 0.5000 0.5000 0.2476
Cu 0.5000 0.5000 0.7524
Ni 0.0000 0.5000 0.0000
Ni 0.5000 0.0000 0.0000
Ni 0.5000 0.0000 0.5000

***

2.
Computed XRD peak list
Compound: Na2Li6Pb3
Radiation: Cu Kα (λ = 1.5418 Å)
Structure: a crystal structure in Alexandria, relaxed with PBE
Neutral-atom scattering factors, no anomalous dispersion.

Principal peaks in the range 5 to 70 degrees two-theta, sorted by position:
2θ (°)  d [Å]  I_rel
9.46  9.348  39
14.21  6.232  50
23.66  3.760  33
23.80  3.739  22
26.43  3.373  100
33.54  2.672  33
35.52  2.527  43
36.59  2.456  20
41.54  2.174  23
55.77  1.648  27

Structure:
Cell lengths 18.8864, 18.8864, 18.8864 Å; angles 168.52, 168.52, 16.27 degrees
Atoms (fractional coordinates):
Na 0.0557 0.0557 0.0000
Na 0.9443 0.9443 0.0000
Li 0.1326 0.6326 0.5000
Li 0.2278 0.2278 0.0000
Li 0.3674 0.8674 0.5000
Li 0.6326 0.1326 0.5000
Li 0.7722 0.7722 0.0000
Li 0.8674 0.3674 0.5000
Pb 0.3084 0.3084 0.0000
Pb 0.5000 0.5000 0.0000
Pb 0.6916 0.6916 0.0000

***

3.
Computed XRD peak list
Compound: Pm7Er12Pb
Radiation: Cu Kα (λ = 1.5418 Å)
Structure: a crystal structure in Alexandria, relaxed with PBE
Neutral-atom scattering factors, no anomalous dispersion.

Principal peaks in the range 5 to 70 degrees two-theta, sorted by position:
2θ (°)  d [Å]  I_rel
30.10  2.969  37
30.80  2.903  64
31.79  2.815  62
31.90  2.805  22
32.05  2.792  58
32.17  2.782  54
32.41  2.762  100
32.96  2.717  74
33.33  2.688  28
35.28  2.544  26

Structure:
Cell lengths 8.4376, 9.0928, 9.8037 Å; angles 73.92, 78.62, 62.99 degrees
Atoms (fractional coordinates):
Pm 0.0000 0.0000 0.0000
Pm 0.0921 0.3389 0.1560
Pm 0.3277 0.9293 0.2921
Pm 0.4248 0.2130 0.4082
Pm 0.5752 0.7870 0.5918
Pm 0.6723 0.0707 0.7079
Pm 0.9079 0.6611 0.8440
Er 0.1082 0.0452 0.6196
Er 0.2215 0.2734 0.7968
Er 0.2411 0.6276 0.2338
Er 0.2834 0.6169 0.5684
Er 0.3241 0.5705 0.9022
Er 0.4602 0.8535 0.9452
Er 0.5398 0.1465 0.0548
Er 0.6759 0.4295 0.0978
Er 0.7166 0.3831 0.4316
Er 0.7589 0.3724 0.7662
Er 0.7785 0.7266 0.2032
Er 0.8918 0.9548 0.3804
Pb 0.0000 0.5000 0.5000